1.
The following is a simulated PXRD pattern of Rb2ErZrS4. It was derived from a structure optimized by DFT (PBE), using λ = 1.5418 Å (Cu Kα).
Neutral-atom scattering factors, no anomalous dispersion.

Cell and atoms:
```
data_Rb2ErZrS4
_chemical_formula_sum 'Rb2 Er1 Zr1 S4'
_symmetry_space_group_name_H-M 'P -3 m 1'
_symmetry_Int_Tables_number 164
_symmetry_space_group_name_Hall '-P 3 2"'
_cell_length_a 3.9093
_cell_length_b 3.9093
_cell_length_c 15.3680
_cell_angle_alpha 90.00
_cell_angle_beta 90.00
_cell_angle_gamma 120.00
loop_
_atom_site_label
_atom_site_fract_x
_atom_site_fract_y
_atom_site_fract_z
_atom_site_occupancy
Rb1 0.3333 0.6667 0.2471 1
Er1 0.0000 0.0000 0.5000 1
Zr1 0.0000 0.0000 0.0000 1
S1 0.3333 0.6667 0.5984 1
S2 0.3333 0.6667 0.9060 1
```

Peak list (10 most intense, 10 to 80 degrees two-theta, sorted by position)
h k l, d/Å, Rel. int.
0 0 2, 7.684, 25.7
0 0 4, 3.842, 29.9
0 1 2, 3.098, 100.0
0 1 3, 2.824, 56.0
1 0 4, 2.540, 27.7
0 1 6, 2.043, 47.5
1 1 0, 1.955, 40.0
1 1 4, 1.742, 20.5
2 0 2, 1.653, 15.8
1 1 8, 1.370, 15.8

=====

2.
The following is a simulated PXRD pattern of Rb2ErTmSe4. It was derived from a structure optimized by DFT (PBE), using λ = 1.5418 Å (Cu Kα).
Neutral-atom scattering factors, no anomalous dispersion.

Cell and atoms:
```
data_Rb2ErTmSe4
_chemical_formula_sum 'Rb2 Er1 Tm1 Se4'
_symmetry_space_group_name_H-M 'P -3 m 1'
_symmetry_Int_Tables_number 164
_symmetry_space_group_name_Hall '-P 3 2"'
_cell_length_a 4.1830
_cell_length_b 4.1830
_cell_length_c 15.9521
_cell_angle_alpha 90.00
_cell_angle_beta 90.00
_cell_angle_gamma 120.00
loop_
_atom_site_label
_atom_site_fract_x
_atom_site_fract_y
_atom_site_fract_z
_atom_site_occupancy
Rb1 0.3333 0.6667 0.2499 1
Er1 0.0000 0.0000 0.5000 1
Tm1 0.0000 0.0000 0.0000 1
Se1 0.3333 0.6667 0.5978 1
Se2 0.3333 0.6667 0.9030 1
```

Peak list (10 most intense, 10 to 80 degrees two-theta, sorted by position)
h k l, d/Å, Rel. int.
0 0 2, 7.976, 67.0
0 1 2, 3.298, 97.9
1 0 3, 2.994, 100.0
1 0 4, 2.681, 57.6
1 0 6, 2.143, 69.1
1 1 0, 2.092, 70.1
0 2 3, 1.715, 18.8
0 2 6, 1.497, 22.0
1 1 8, 1.443, 19.9
2 1 6, 1.217, 22.4

=====

3.
The following is a simulated PXRD pattern of Rb2ErTmTe4. It was derived from a structure optimized by DFT (PBE), using λ = 1.5418 Å (Cu Kα).
Neutral-atom scattering factors, no anomalous dispersion.

Cell and atoms:
```
data_Rb2ErTmTe4
_chemical_formula_sum 'Rb2 Er1 Tm1 Te4'
_symmetry_space_group_name_H-M 'P -3 m 1'
_symmetry_Int_Tables_number 164
_symmetry_space_group_name_Hall '-P 3 2"'
_cell_length_a 4.4809
_cell_length_b 4.4809
_cell_length_c 17.0805
_cell_angle_alpha 90.00
_cell_angle_beta 90.00
_cell_angle_gamma 120.00
loop_
_atom_site_label
_atom_site_fract_x
_atom_site_fract_y
_atom_site_fract_z
_atom_site_occupancy
Rb1 0.3333 0.6667 0.2497 1
Er1 0.0000 0.0000 0.5000 1
Tm1 0.0000 0.0000 0.0000 1
Te1 0.3333 0.6667 0.5997 1
Te2 0.3333 0.6667 0.9011 1
```

Peak list (10 most intense, 10 to 80 degrees two-theta, sorted by position)
h k l, d/Å, Rel. int.
0 0 2, 8.540, 50.0
0 1 2, 3.533, 47.0
1 0 3, 3.207, 100.0
1 0 4, 2.872, 46.5
1 0 6, 2.295, 49.1
1 1 0, 2.240, 58.9
0 2 3, 1.837, 19.9
0 2 6, 1.603, 16.1
2 1 3, 1.420, 16.9
2 1 6, 1.304, 16.1

=====

4.
The following is a simulated PXRD pattern of Rb2YErTe4. It was derived from a structure optimized by DFT (PBE), using λ = 1.5418 Å (Cu Kα).
Neutral-atom scattering factors, no anomalous dispersion.

Cell and atoms:
```
data_Rb2YErTe4
_chemical_formula_sum 'Rb2 Y1 Er1 Te4'
_symmetry_space_group_name_H-M 'P -3 m 1'
_symmetry_Int_Tables_number 164
_symmetry_space_group_name_Hall '-P 3 2"'
_cell_length_a 4.5005
_cell_length_b 4.5005
_cell_length_c 17.0874
_cell_angle_alpha 90.00
_cell_angle_beta 90.00
_cell_angle_gamma 120.00
loop_
_atom_site_label
_atom_site_fract_x
_atom_site_fract_y
_atom_site_fract_z
_atom_site_occupancy
Rb1 0.3333 0.6667 0.2495 1
Y1 0.0000 0.0000 0.5000 1
Er1 0.0000 0.0000 0.0000 1
Te1 0.3333 0.6667 0.6010 1
Te2 0.3333 0.6667 0.9007 1
```

Peak list (10 most intense, 10 to 80 degrees two-theta, sorted by position)
h k l, d/Å, Rel. int.
0 0 2, 8.544, 27.8
0 1 2, 3.546, 28.9
1 0 3, 3.217, 100.0
1 0 4, 2.879, 32.1
1 0 6, 2.299, 36.6
1 1 0, 2.250, 49.9
0 2 3, 1.844, 20.0
0 2 6, 1.608, 11.9
1 1 8, 1.549, 12.3
2 1 3, 1.426, 17.1

=====

5.
The following is a simulated PXRD pattern of Er8Re. It was derived from a structure optimized by DFT (PBE), using λ = 1.5418 Å (Cu Kα).
Neutral-atom scattering factors, no anomalous dispersion.

Cell and atoms:
```
data_Er8Re
_chemical_formula_sum 'Er8 Re1'
_symmetry_space_group_name_H-M 'P -6 2 m'
_symmetry_Int_Tables_number 189
_symmetry_space_group_name_Hall 'P -6 -2'
_cell_length_a 8.9497
_cell_length_b 8.9497
_cell_length_c 3.6698
_cell_angle_alpha 90.00
_cell_angle_beta 90.00
_cell_angle_gamma 120.00
loop_
_atom_site_label
_atom_site_fract_x
_atom_site_fract_y
_atom_site_fract_z
_atom_site_occupancy
Er1 0.0000 0.2472 0.0000 1
Er2 0.0000 0.6343 0.5000 1
Er3 0.3333 0.6667 0.0000 1
Re1 0.0000 0.0000 0.5000 1
```

Peak list (10 most intense, 10 to 80 degrees two-theta, sorted by position)
h k l, d/Å, Rel. int.
1 0 0, 7.751, 16.2
2 1 0, 2.929, 44.8
1 1 1, 2.838, 100.0
2 0 1, 2.665, 58.4
3 0 0, 2.584, 78.8
2 1 1, 2.289, 58.9
0 0 2, 1.835, 18.1
3 2 1, 1.600, 34.3
4 1 1, 1.536, 19.3
3 0 2, 1.496, 29.7

=====

6.
The following is a simulated PXRD pattern of ErRe4SiSn. It was derived from a structure optimized by DFT (PBE), using λ = 1.5418 Å (Cu Kα).
Neutral-atom scattering factors, no anomalous dispersion.

Cell and atoms:
```
data_ErRe4SiSn
_chemical_formula_sum 'Er2 Re8 Si2 Sn2'
_symmetry_space_group_name_H-M 'A m m 2'
_symmetry_Int_Tables_number 38
_cell_length_a 4.1243
_cell_length_b 4.1634
_cell_length_c 14.8978
_cell_angle_alpha 90.00
_cell_angle_beta 90.00
_cell_angle_gamma 90.00
loop_
_symmetry_equiv_pos_as_xyz
'x,y,z'
'-x,-y,z'
'-x,y,z'
'x,-y,z'
'x,y+1/2,z+1/2'
'-x,-y+1/2,z+1/2'
'-x,y+1/2,z+1/2'
'x,-y+1/2,z+1/2'
loop_
_atom_site_label
_atom_site_fract_x
_atom_site_fract_y
_atom_site_fract_z
_atom_site_occupancy
Er1 0.0000 0.0000 0.0000 1
Re1 0.0000 0.0000 0.3272 1
Re2 0.0000 0.0000 0.7273 1
Re3 0.5000 0.0000 0.2225 1
Re4 0.5000 0.0000 0.8319 1
Si1 0.5000 0.0000 0.4253 1
Sn1 0.5000 0.0000 0.6001 1
```

Peak list (10 most intense, 10 to 80 degrees two-theta, sorted by position)
h k l, d/Å, Rel. int.
0 0 2, 7.449, 65.7
1 0 4, 2.764, 10.1
1 1 3, 2.524, 100.0
1 1 5, 2.089, 52.5
0 2 0, 2.082, 26.8
2 0 0, 2.062, 26.0
1 1 7, 1.722, 13.3
2 2 0, 1.465, 17.6
1 3 3, 1.271, 11.9
3 1 3, 1.262, 12.8

=====

7.
The following is a simulated PXRD pattern of Er3ReTe5. It was derived from a structure optimized by DFT (PBE), using λ = 1.5418 Å (Cu Kα).
Neutral-atom scattering factors, no anomalous dispersion.

Cell and atoms:
```
data_Er3ReTe5
_chemical_formula_sum 'Er3 Re1 Te5'
_symmetry_space_group_name_H-M 'P -6 2 m'
_symmetry_Int_Tables_number 189
_symmetry_space_group_name_Hall 'P -6 -2'
_cell_length_a 8.3642
_cell_length_b 8.3642
_cell_length_c 4.3161
_cell_angle_alpha 90.00
_cell_angle_beta 90.00
_cell_angle_gamma 120.00
loop_
_atom_site_label
_atom_site_fract_x
_atom_site_fract_y
_atom_site_fract_z
_atom_site_occupancy
Er1 0.0000 0.2590 0.0000 1
Re1 0.0000 0.0000 0.5000 1
Te1 0.0000 0.6863 0.5000 1
Te2 0.3333 0.6667 0.0000 1
```

Peak list (10 most intense, 10 to 80 degrees two-theta, sorted by position)
h k l, d/Å, Rel. int.
1 0 0, 7.244, 47.3
1 0 1, 3.708, 13.6
1 1 1, 3.003, 100.0
2 0 1, 2.774, 32.1
3 0 0, 2.415, 62.1
2 1 1, 2.312, 72.0
0 0 2, 2.158, 24.8
3 0 2, 1.609, 35.6
3 2 1, 1.551, 21.6
5 1 1, 1.246, 14.5

=====

8.
The following is a simulated PXRD pattern of Er3Tm3ReTe2. It was derived from a structure optimized by DFT (PBE), using λ = 1.5418 Å (Cu Kα).
Neutral-atom scattering factors, no anomalous dispersion.

Cell and atoms:
```
data_Er3Tm3ReTe2
_chemical_formula_sum 'Er3 Tm3 Re1 Te2'
_symmetry_space_group_name_H-M 'P -6 2 m'
_symmetry_Int_Tables_number 189
_symmetry_space_group_name_Hall 'P -6 -2'
_cell_length_a 8.1772
_cell_length_b 8.1772
_cell_length_c 4.1251
_cell_angle_alpha 90.00
_cell_angle_beta 90.00
_cell_angle_gamma 120.00
loop_
_atom_site_label
_atom_site_fract_x
_atom_site_fract_y
_atom_site_fract_z
_atom_site_occupancy
Er1 0.0000 0.7618 0.0000 1
Tm1 0.0000 0.3839 0.5000 1
Re1 0.0000 0.0000 0.5000 1
Te1 0.3333 0.6667 0.0000 1
```

Peak list (10 most intense, 10 to 80 degrees two-theta, sorted by position)
h k l, d/Å, Rel. int.
1 0 0, 7.082, 21.9
1 1 1, 2.904, 100.0
2 0 1, 2.687, 72.4
2 1 0, 2.677, 49.3
3 0 0, 2.361, 43.5
2 1 1, 2.245, 50.2
0 0 2, 2.063, 25.5
2 1 2, 1.634, 22.5
3 0 2, 1.553, 23.9
3 2 1, 1.512, 31.3

=====

9.
The following is a simulated PXRD pattern of Er2S3. It was derived from a structure optimized by DFT (PBE), using λ = 1.5418 Å (Cu Kα).
Neutral-atom scattering factors, no anomalous dispersion.

Cell and atoms:
```
data_Er2S3
_chemical_formula_sum 'Er32 S48'
_symmetry_space_group_name_H-M 'F d d d'
_symmetry_Int_Tables_number 70
_cell_length_a 7.8762
_cell_length_b 11.0046
_cell_length_c 23.3247
_cell_angle_alpha 90.00
_cell_angle_beta 90.00
_cell_angle_gamma 90.00
loop_
_symmetry_equiv_pos_as_xyz
'x,y,z'
'-x,-y,-z'
'-x+1/4,-y+1/4,z'
'x+1/4,y+1/4,-z'
'x,-y+1/4,-z+1/4'
'-x,y+1/4,z+1/4'
'-x+1/4,y,-z+1/4'
'x+1/4,-y,z+1/4'
'x,y+1/2,z+1/2'
'-x,-y+1/2,-z+1/2'
'-x+1/4,-y+3/4,z+1/2'
'x+1/4,y+3/4,-z+1/2'
'x,-y+3/4,-z+3/4'
'-x,y+3/4,z+3/4'
'-x+1/4,y+1/2,-z+3/4'
'x+1/4,-y+1/2,z+3/4'
'x+1/2,y,z+1/2'
'-x+1/2,-y,-z+1/2'
'-x+3/4,-y+1/4,z+1/2'
'x+3/4,y+1/4,-z+1/2'
'x+1/2,-y+1/4,-z+3/4'
'-x+1/2,y+1/4,z+3/4'
'-x+3/4,y,-z+3/4'
'x+3/4,-y,z+3/4'
'x+1/2,y+1/2,z'
'-x+1/2,-y+1/2,-z'
'-x+3/4,-y+3/4,z'
'x+3/4,y+3/4,-z'
'x+1/2,-y+3/4,-z+1/4'
'-x+1/2,y+3/4,z+1/4'
'-x+3/4,y+1/2,-z+1/4'
'x+3/4,-y+1/2,z+1/4'
loop_
_atom_site_label
_atom_site_fract_x
_atom_site_fract_y
_atom_site_fract_z
_atom_site_occupancy
Er1 0.1250 0.1250 0.0405 1
Er2 0.1250 0.1250 0.3792 1
S1 0.1112 0.3750 0.3750 1
S2 0.1131 0.3690 0.2048 1
```

Peak list (10 most intense, 10 to 80 degrees two-theta, sorted by position)
h k l, d/Å, Rel. int.
1 1 1, 6.176, 82.5
1 1 5, 3.771, 32.6
2 2 0, 3.202, 42.2
0 2 6, 3.175, 40.3
2 0 6, 2.767, 100.0
0 4 0, 2.751, 50.0
2 4 6, 1.951, 70.7
0 0 12, 1.943, 23.3
0 4 12, 1.587, 21.3
2 8 6, 1.231, 22.6

=====

10.
The following is a simulated PXRD pattern of Er2S3. It was derived from a structure optimized by DFT (PBE), using λ = 1.5418 Å (Cu Kα).
Neutral-atom scattering factors, no anomalous dispersion.

Cell and atoms:
```
data_Er2S3
_chemical_formula_sum 'Er12 S18'
_symmetry_space_group_name_H-M 'P 1 21/m 1'
_symmetry_Int_Tables_number 11
_cell_length_a 10.1061
_cell_length_b 3.9858
_cell_length_c 17.5101
_cell_angle_alpha 90.00
_cell_angle_beta 98.63
_cell_angle_gamma 90.00
loop_
_symmetry_equiv_pos_as_xyz
'x,y,z'
'-x,-y,-z'
'-x,y+1/2,-z'
'x,-y+1/2,z'
loop_
_atom_site_label
_atom_site_fract_x
_atom_site_fract_y
_atom_site_fract_z
_atom_site_occupancy
Er1 0.0134 0.2500 0.1010 1
Er2 0.0495 0.7500 0.6150 1
Er3 0.3109 0.2500 0.4792 1
Er4 0.3126 0.2500 0.7794 1
Er5 0.3294 0.7500 0.2814 1
Er6 0.3756 0.2500 0.0701 1
S1 0.1150 0.7500 0.4669 1
S2 0.1327 0.2500 0.9683 1
S3 0.1381 0.7500 0.7819 1
S4 0.1798 0.2500 0.3172 1
S5 0.2103 0.7500 0.1308 1
S6 0.2320 0.2500 0.6268 1
S7 0.4479 0.2500 0.9249 1
S8 0.4514 0.7500 0.4241 1
S9 0.4926 0.2500 0.2322 1
```

Peak list (10 most intense, 10 to 80 degrees two-theta, sorted by position)
h k l, d/Å, Rel. int.
1 0 4, 3.770, 86.0
2 0 -4, 3.545, 73.0
3 0 0, 3.331, 62.7
0 1 3, 3.279, 98.6
2 1 -1, 3.117, 70.3
2 1 1, 3.020, 60.7
3 1 -3, 2.443, 77.2
3 1 3, 2.243, 86.0
2 1 -7, 2.032, 100.0
1 1 7, 2.006, 70.0

=====

11.
The following is a simulated PXRD pattern of Er5S6. It was derived from a structure optimized by DFT (PBE), using λ = 1.5418 Å (Cu Kα).
Neutral-atom scattering factors, no anomalous dispersion.

Cell and atoms:
```
data_Er5S6
_chemical_formula_sum 'Er10 S12'
_symmetry_space_group_name_H-M 'C 1 2/m 1'
_symmetry_Int_Tables_number 12
_cell_length_a 6.6861
_cell_length_b 11.5449
_cell_length_c 6.6561
_cell_angle_alpha 90.00
_cell_angle_beta 109.47
_cell_angle_gamma 90.00
loop_
_symmetry_equiv_pos_as_xyz
'x,y,z'
'-x,-y,-z'
'-x,y,-z'
'x,-y,z'
'x+1/2,y+1/2,z'
'-x+1/2,-y+1/2,-z'
'-x+1/2,y+1/2,-z'
'x+1/2,-y+1/2,z'
loop_
_atom_site_label
_atom_site_fract_x
_atom_site_fract_y
_atom_site_fract_z
_atom_site_occupancy
Er1 0.0000 0.0000 0.0000 1
Er2 0.0000 0.1655 0.5000 1
Er3 0.0000 0.3369 0.0000 1
S1 0.2503 0.0000 0.7458 1
S2 0.2496 0.1668 0.2491 1
```

Peak list (10 most intense, 10 to 80 degrees two-theta, sorted by position)
h k l, d/Å, Rel. int.
2 0 0, 3.146, 56.1
0 0 2, 3.138, 17.8
1 3 1, 2.723, 100.0
2 0 2, 1.928, 35.9
1 3 -3, 1.923, 35.5
1 3 3, 1.641, 23.5
2 6 -2, 1.571, 12.3
4 0 -4, 1.361, 11.4
3 3 3, 1.217, 10.6
3 3 -5, 1.216, 10.6

=====

12.
The following is a simulated PXRD pattern of ErS4. It was derived from a structure optimized by DFT (PBE), using λ = 1.5418 Å (Cu Kα).
Neutral-atom scattering factors, no anomalous dispersion.

Cell and atoms:
```
data_ErS4
_chemical_formula_sum 'Er4 S16'
_symmetry_space_group_name_H-M 'C 1 2/m 1'
_symmetry_Int_Tables_number 12
_cell_length_a 7.0315
_cell_length_b 8.2232
_cell_length_c 8.6220
_cell_angle_alpha 90.00
_cell_angle_beta 108.97
_cell_angle_gamma 90.00
loop_
_symmetry_equiv_pos_as_xyz
'x,y,z'
'-x,-y,-z'
'-x,y,-z'
'x,-y,z'
'x+1/2,y+1/2,z'
'-x+1/2,-y+1/2,-z'
'-x+1/2,y+1/2,-z'
'x+1/2,-y+1/2,z'
loop_
_atom_site_label
_atom_site_fract_x
_atom_site_fract_y
_atom_site_fract_z
_atom_site_occupancy
Er1 0.0000 0.2437 0.0000 1
S1 0.1437 0.2151 0.7225 1
S2 0.1663 0.0000 0.6096 1
S3 0.2126 0.5000 0.9199 1
```

Peak list (10 most intense, 10 to 80 degrees two-theta, sorted by position)
h k l, d/Å, Rel. int.
0 0 1, 8.154, 100.0
0 2 0, 4.112, 22.0
0 2 1, 3.671, 30.1
2 0 -2, 3.121, 17.6
2 0 1, 2.779, 19.4
0 0 3, 2.718, 14.3
2 2 0, 2.585, 20.6
2 2 -2, 2.486, 19.2
2 2 1, 2.302, 17.1
2 2 -3, 2.167, 20.9

=====

13.
The following is a simulated PXRD pattern of ErScS3. It was derived from a structure optimized by DFT (PBE), using λ = 1.5418 Å (Cu Kα).
Neutral-atom scattering factors, no anomalous dispersion.

Cell and atoms:
```
data_ErScS3
_chemical_formula_sum 'Er4 Sc4 S12'
_symmetry_space_group_name_H-M 'P n a 21'
_symmetry_Int_Tables_number 33
_cell_length_a 6.9764
_cell_length_b 6.3403
_cell_length_c 9.5024
_cell_angle_alpha 90.00
_cell_angle_beta 90.00
_cell_angle_gamma 90.00
loop_
_symmetry_equiv_pos_as_xyz
'x,y,z'
'-x,-y,z+1/2'
'-x+1/2,y+1/2,z+1/2'
'x+1/2,-y+1/2,z'
loop_
_atom_site_label
_atom_site_fract_x
_atom_site_fract_y
_atom_site_fract_z
_atom_site_occupancy
Er1 0.1021 0.0424 0.0000 1
Sc1 0.0029 0.5018 0.7511 1
S1 0.0500 0.3518 0.5006 1
S2 0.1818 0.8241 0.3225 1
S3 0.1856 0.8256 0.6761 1
```

Peak list (10 most intense, 10 to 80 degrees two-theta, sorted by position)
h k l, d/Å, Rel. int.
0 0 2, 4.751, 33.5
1 1 0, 4.692, 28.6
1 1 1, 4.207, 65.2
1 1 2, 3.338, 100.0
2 0 1, 3.275, 29.6
1 2 1, 2.762, 32.8
1 1 3, 2.625, 40.8
2 0 3, 2.345, 40.8
2 2 1, 2.278, 39.5
3 1 1, 2.128, 38.7